No. 1
Theoretical powder diffraction line list
Compound: Li2Mn3SnO8
Radiation: Cu Kα, 1.54184 Å
Structure: a cell relaxed with GGA+U
Peak positions follow from Bragg's law for the DFT cell and can differ from measured ones.

Structure:
```
data_Li2Mn3SnO8
_cell_length_a 8.348
_cell_length_b 8.709
_cell_length_c 8.744
_cell_angle_alpha 90.00
_cell_angle_beta 90.00
_cell_angle_gamma 90.00
_symmetry_space_group_name_H-M 'P 21 21 21'
_symmetry_Int_Tables_number 19
loop_
_symmetry_equiv_pos_as_xyz
'x,y,z'
'-x+1/2,-y,z+1/2'
'x+1/2,-y+1/2,-z'
'-x,y+1/2,-z+1/2'
loop_
_atom_site_label
_atom_site_type_symbol
_atom_site_fract_x
_atom_site_fract_y
_atom_site_fract_z
Li1 Li 0.000 0.004 0.001
Li2 Li 0.250 0.249 0.246
Mn1 Mn 0.117 0.127 0.627
Mn2 Mn 0.125 0.378 0.872
Mn3 Mn 0.133 0.624 0.123
Sn1 Sn 0.125 0.875 0.374
O1 O 0.100 0.116 0.379
O2 O 0.107 0.891 0.618
O3 O 0.116 0.605 0.884
O4 O 0.122 0.379 0.097
O5 O 0.128 0.153 0.872
O6 O 0.134 0.365 0.645
O7 O 0.143 0.632 0.360
O8 O 0.149 0.871 0.135
```

Peak list (10 most intense, 10° ≤ 2θ ≤ 90°, most intense first)
two_theta	d/Å	intensity
17.88	4.962	1000
41.30	2.186	189
36.21	2.481	187
41.47	2.177	187
34.17	2.624	179
34.27	2.616	177
43.36	2.087	159
35.39	2.537	156
59.97	1.543	118
61.42	1.509	107

=====

No. 2
Theoretical powder diffraction line list
Compound: Li2Mn3SnO8
Radiation: Cu Kα, 1.54184 Å
Structure: a cell relaxed with GGA+U
Peak positions follow from Bragg's law for the DFT cell and can differ from measured ones.

Structure:
```
data_Li2Mn3SnO8
_cell_length_a 6.060
_cell_length_b 6.220
_cell_length_c 8.420
_cell_angle_alpha 91.93
_cell_angle_beta 90.65
_cell_angle_gamma 92.08
_symmetry_space_group_name_H-M 'P -1'
_symmetry_Int_Tables_number 2
loop_
_symmetry_equiv_pos_as_xyz
'x,y,z'
'-x,-y,-z'
loop_
_atom_site_label
_atom_site_type_symbol
_atom_site_fract_x
_atom_site_fract_y
_atom_site_fract_z
Li1 Li 0.244 0.498 0.133
Li2 Li 0.251 0.000 0.371
Mn1 Mn 0.000 0.000 0.000
Mn2 Mn 0.000 0.500 0.500
Mn3 Mn 0.248 0.751 0.748
Mn4 Mn 0.500 0.000 0.000
Mn5 Mn 0.500 0.500 0.500
Sn1 Sn 0.242 0.249 0.749
O1 O 0.001 0.007 0.772
O2 O 0.023 0.509 0.732
O3 O 0.212 0.271 0.504
O4 O 0.229 0.230 0.996
O5 O 0.244 0.794 0.984
O6 O 0.250 0.709 0.514
O7 O 0.467 0.995 0.758
O8 O 0.487 0.487 0.732
```

Peak list (10 most intense, 10° ≤ 2θ ≤ 90°, most intense first)
two_theta	d/Å	intensity
17.99	4.931	1000
18.16	4.886	471
40.85	2.209	278
42.45	2.129	247
42.99	2.104	239
61.27	1.513	157
35.04	2.561	155
33.41	2.682	119
34.24	2.619	101
33.93	2.642	99

=====

No. 3
Theoretical powder diffraction line list
Compound: Li3Mn4SnO8
Radiation: Cu Kα, 1.54184 Å
Structure: a cell relaxed with GGA+U
Peak positions follow from Bragg's law for the DFT cell and can differ from measured ones.

Structure:
```
data_Li3Mn4SnO8
_cell_length_a 6.156
_cell_length_b 6.158
_cell_length_c 6.229
_cell_angle_alpha 119.24
_cell_angle_beta 91.53
_cell_angle_gamma 118.60
_symmetry_space_group_name_H-M 'P -1'
_symmetry_Int_Tables_number 2
loop_
_symmetry_equiv_pos_as_xyz
'x,y,z'
'-x,-y,-z'
loop_
_atom_site_label
_atom_site_type_symbol
_atom_site_fract_x
_atom_site_fract_y
_atom_site_fract_z
Li1 Li 0.000 0.000 0.000
Li2 Li 0.000 0.000 0.500
Li3 Li 0.500 0.500 0.000
Mn1 Mn 0.000 0.500 0.000
Mn2 Mn 0.000 0.500 0.500
Mn3 Mn 0.500 0.000 0.500
Mn4 Mn 0.500 0.500 0.500
Sn1 Sn 0.500 0.000 0.000
O1 O 0.251 0.516 0.266
O2 O 0.253 0.000 0.232
O3 O 0.258 0.989 0.746
O4 O 0.267 0.521 0.768
```

Peak list (10 most intense, 10° ≤ 2θ ≤ 90°, most intense first)
two_theta	d/Å	intensity
40.66	2.219	1000
17.63	5.032	931
17.45	5.083	536
41.83	2.160	459
33.46	2.678	410
35.31	2.542	331
59.37	1.557	287
60.14	1.539	276
34.05	2.633	189
35.11	2.556	170

=====

No. 4
Theoretical powder diffraction line list
Compound: Li3Mn4SnO8
Radiation: Cu Kα, 1.54184 Å
Structure: a cell relaxed with GGA+U
Peak positions follow from Bragg's law for the DFT cell and can differ from measured ones.

Structure:
```
data_Li3Mn4SnO8
_cell_length_a 6.163
_cell_length_b 6.186
_cell_length_c 10.789
_cell_angle_alpha 74.60
_cell_angle_beta 74.23
_cell_angle_gamma 61.30
_symmetry_space_group_name_H-M 'P -1'
_symmetry_Int_Tables_number 2
loop_
_symmetry_equiv_pos_as_xyz
'x,y,z'
'-x,-y,-z'
loop_
_atom_site_label
_atom_site_type_symbol
_atom_site_fract_x
_atom_site_fract_y
_atom_site_fract_z
Li1 Li 0.000 0.000 0.000
Li2 Li 0.239 0.748 0.254
Li3 Li 0.244 0.736 0.765
Li4 Li 0.500 0.500 0.500
Mn1 Mn 0.000 0.000 0.500
Mn2 Mn 0.000 0.500 0.000
Mn3 Mn 0.000 0.500 0.500
Mn4 Mn 0.253 0.255 0.751
Mn5 Mn 0.500 0.000 0.000
Mn6 Mn 0.500 0.000 0.500
Mn7 Mn 0.500 0.500 0.000
Sn1 Sn 0.244 0.248 0.250
O1 O 0.116 0.170 0.612
O2 O 0.120 0.637 0.635
O3 O 0.127 0.134 0.125
O4 O 0.135 0.608 0.132
O5 O 0.339 0.379 0.381
O6 O 0.368 0.890 0.366
O7 O 0.370 0.378 0.885
O8 O 0.391 0.867 0.864
```

Peak list (10 most intense, 10° ≤ 2θ ≤ 90°, most intense first)
two_theta	d/Å	intensity
17.58	5.046	1000
17.41	5.094	571
40.42	2.232	527
40.76	2.214	518
41.66	2.168	486
35.23	2.547	356
33.30	2.691	217
33.51	2.675	214
33.93	2.642	207
35.02	2.562	181

=====

No. 5
Theoretical powder diffraction line list
Compound: Li2Mn3SnO8
Radiation: Cu Kα, 1.54184 Å
Structure: a cell relaxed with GGA+U
Peak positions follow from Bragg's law for the DFT cell and can differ from measured ones.

Structure:
```
data_Li2Mn3SnO8
_cell_length_a 8.376
_cell_length_b 8.647
_cell_length_c 8.786
_cell_angle_alpha 90.00
_cell_angle_beta 90.00
_cell_angle_gamma 90.00
_symmetry_space_group_name_H-M 'P 21 21 21'
_symmetry_Int_Tables_number 19
loop_
_symmetry_equiv_pos_as_xyz
'x,y,z'
'-x+1/2,-y,z+1/2'
'x+1/2,-y+1/2,-z'
'-x,y+1/2,-z+1/2'
loop_
_atom_site_label
_atom_site_type_symbol
_atom_site_fract_x
_atom_site_fract_y
_atom_site_fract_z
Li1 Li 0.000 0.004 0.002
Li2 Li 0.249 0.249 0.247
Mn1 Mn 0.116 0.127 0.628
Mn2 Mn 0.125 0.377 0.873
Mn3 Mn 0.134 0.624 0.124
Sn1 Sn 0.125 0.875 0.375
O1 O 0.099 0.115 0.375
O2 O 0.108 0.891 0.618
O3 O 0.116 0.605 0.883
O4 O 0.123 0.379 0.097
O5 O 0.128 0.151 0.873
O6 O 0.134 0.364 0.647
O7 O 0.145 0.631 0.366
O8 O 0.149 0.871 0.137
```

Peak list (10 most intense, 10° ≤ 2θ ≤ 90°, most intense first)
two_theta	d/Å	intensity
17.87	4.964	1000
41.10	2.196	194
36.19	2.482	188
34.05	2.633	184
41.79	2.162	184
34.45	2.603	174
43.20	2.094	162
35.29	2.543	157
60.05	1.541	122
61.15	1.516	109

=====

No. 6
Theoretical powder diffraction line list
Compound: Li2Mn3SnO8
Radiation: Cu Kα, 1.54184 Å
Structure: a cell relaxed with GGA+U
Peak positions follow from Bragg's law for the DFT cell and can differ from measured ones.

Structure:
```
data_Li2Mn3SnO8
_cell_length_a 5.856
_cell_length_b 10.625
_cell_length_c 9.764
_cell_angle_alpha 90.00
_cell_angle_beta 90.00
_cell_angle_gamma 90.00
_symmetry_space_group_name_H-M 'C m c 21'
_symmetry_Int_Tables_number 36
loop_
_symmetry_equiv_pos_as_xyz
'x,y,z'
'-x,-y,z+1/2'
'-x,y,z'
'x,-y,z+1/2'
'x+1/2,y+1/2,z'
'-x+1/2,-y+1/2,z+1/2'
'-x+1/2,y+1/2,z'
'x+1/2,-y+1/2,z+1/2'
loop_
_atom_site_label
_atom_site_type_symbol
_atom_site_fract_x
_atom_site_fract_y
_atom_site_fract_z
Li1 Li 0.000 0.005 0.000
Li2 Li 0.000 0.343 0.903
Mn1 Mn 0.000 0.171 0.222
Mn2 Mn 0.246 0.416 0.223
Sn1 Sn 0.000 0.320 0.498
O1 O 0.000 0.006 0.312
O2 O 0.000 0.150 0.609
O3 O 0.000 0.330 0.122
O4 O 0.000 0.474 0.347
O5 O 0.220 0.243 0.347
O6 O 0.236 0.095 0.103
```

Peak list (10 most intense, 10° ≤ 2θ ≤ 90°, most intense first)
two_theta	d/Å	intensity
19.55	4.540	1000
34.85	2.575	488
32.59	2.748	385
19.02	4.666	372
35.00	2.563	341
45.01	2.014	262
59.50	1.554	259
25.19	3.536	237
61.17	1.515	235
36.22	2.480	234

=====

No. 7
Theoretical powder diffraction line list
Compound: Li5Mn5Sn2O12
Radiation: Cu Kα, 1.54184 Å
Structure: a cell relaxed with GGA+U
Peak positions follow from Bragg's law for the DFT cell and can differ from measured ones.

Structure:
```
data_Li5Mn5Sn2O12
_cell_length_a 5.417
_cell_length_b 9.324
_cell_length_c 10.262
_cell_angle_alpha 90.00
_cell_angle_beta 99.78
_cell_angle_gamma 90.00
_symmetry_space_group_name_H-M 'C 1 2 1'
_symmetry_Int_Tables_number 5
loop_
_symmetry_equiv_pos_as_xyz
'x,y,z'
'-x,y,-z'
'x+1/2,y+1/2,z'
'-x+1/2,y+1/2,-z'
loop_
_atom_site_label
_atom_site_type_symbol
_atom_site_fract_x
_atom_site_fract_y
_atom_site_fract_z
Li1 Li 0.000 0.000 0.000
Li2 Li 0.242 0.829 0.242
Li3 Li 0.247 0.996 0.755
Mn1 Mn 0.000 0.337 0.000
Mn2 Mn 0.000 0.497 0.500
Mn3 Mn 0.000 0.834 0.500
Mn4 Mn 0.242 0.161 0.243
Sn1 Sn 0.000 0.167 0.500
Sn2 Sn 0.000 0.668 0.000
O1 O 0.113 0.502 0.882
O2 O 0.119 0.008 0.377
O3 O 0.121 0.820 0.874
O4 O 0.122 0.324 0.378
O5 O 0.134 0.175 0.886
O6 O 0.141 0.665 0.382
```

Peak list (10 most intense, 10° ≤ 2θ ≤ 90°, most intense first)
two_theta	d/Å	intensity
41.14	2.194	1000
17.54	5.056	706
22.25	3.995	673
40.82	2.211	512
19.04	4.662	483
59.51	1.553	444
35.30	2.543	352
59.18	1.561	306
30.41	2.940	281
33.79	2.653	250

=====

No. 8
Theoretical powder diffraction line list
Compound: Li3Mn4SnO8
Radiation: Cu Kα, 1.54184 Å
Structure: a cell relaxed with GGA+U
Peak positions follow from Bragg's law for the DFT cell and can differ from measured ones.

Structure:
```
data_Li3Mn4SnO8
_cell_length_a 6.231
_cell_length_b 6.263
_cell_length_c 10.623
_cell_angle_alpha 74.45
_cell_angle_beta 74.29
_cell_angle_gamma 60.54
_symmetry_space_group_name_H-M 'P 1'
_symmetry_Int_Tables_number 1
loop_
_symmetry_equiv_pos_as_xyz
'x,y,z'
loop_
_atom_site_label
_atom_site_type_symbol
_atom_site_fract_x
_atom_site_fract_y
_atom_site_fract_z
Li1 Li 0.000 0.000 0.000
Li2 Li 0.002 0.502 0.997
Li3 Li 0.012 0.515 0.484
Li4 Li 0.491 0.981 0.012
Li5 Li 0.496 0.999 0.498
Li6 Li 0.502 0.497 0.494
Mn1 Mn 0.001 0.994 0.497
Mn2 Mn 0.248 0.248 0.746
Mn3 Mn 0.249 0.747 0.748
Mn4 Mn 0.254 0.749 0.245
Mn5 Mn 0.499 0.501 0.999
Mn6 Mn 0.745 0.249 0.750
Mn7 Mn 0.749 0.255 0.245
Mn8 Mn 0.751 0.752 0.249
Sn1 Sn 0.249 0.250 0.248
Sn2 Sn 0.748 0.748 0.747
O1 O 0.099 0.622 0.622
O2 O 0.124 0.607 0.128
O3 O 0.129 0.125 0.130
O4 O 0.130 0.079 0.633
O5 O 0.360 0.415 0.856
O6 O 0.371 0.375 0.366
O7 O 0.371 0.894 0.371
O8 O 0.396 0.880 0.870
O9 O 0.593 0.637 0.638
O10 O 0.607 0.127 0.124
O11 O 0.618 0.628 0.131
O12 O 0.631 0.102 0.625
O13 O 0.870 0.393 0.867
O14 O 0.887 0.879 0.369
O15 O 0.894 0.369 0.374
O16 O 0.902 0.860 0.857
```

Peak list (10 most intense, 10° ≤ 2θ ≤ 90°, most intense first)
two_theta	d/Å	intensity
17.57	5.047	1000
40.45	2.230	524
40.71	2.217	518
41.67	2.168	484
35.23	2.548	355
17.38	5.102	302
59.94	1.543	289
17.43	5.089	267
33.29	2.691	219
33.49	2.676	211